No. 1
Starting from the PBE geometry in Alexandria, the powder diffraction line list of Ca4Ac5Tl4 was simulated for Cu Ka.
Neutral-atom scattering factors, no anomalous dispersion.

Crystal structure
```
data_Ca4Ac5Tl4
_cell_length_a 13.483
_cell_length_b 13.483
_cell_length_c 5.316
_cell_angle_alpha 90.00
_cell_angle_beta 90.00
_cell_angle_gamma 90.00
_symmetry_space_group_name_H-M 'I 4/m'
_symmetry_Int_Tables_number 87
_symmetry_space_group_name_Hall '-I 4'
loop_
_atom_site_label
_atom_site_fract_x
_atom_site_fract_y
_atom_site_fract_z
Ca1 0.099 0.608 0.000
Ac1 0.000 0.000 0.500
Ac2 0.116 0.192 0.000
Tl1 0.082 0.752 0.500
```

Main lines, by angle (15° ≤ 2θ ≤ 90°):
- 22.29 deg, 3.988 Å, rel. 45
- 25.96 deg, 3.432 Å, rel. 54
- 29.20 deg, 3.059 Å, rel. 100
- 29.63 deg, 3.015 Å, rel. 56
- 32.14 deg, 2.785 Å, rel. 84
- 33.72 deg, 2.658 Å, rel. 41

***

No. 2
Starting from the PBE geometry in Alexandria, the powder diffraction line list of CaAc14Tm was simulated for Cu Ka.
Neutral-atom scattering factors, no anomalous dispersion.

Crystal structure
```
data_CaAc14Tm
_cell_length_a 11.186
_cell_length_b 11.196
_cell_length_c 11.199
_cell_angle_alpha 90.00
_cell_angle_beta 90.00
_cell_angle_gamma 90.00
_symmetry_space_group_name_H-M 'A m m 2'
_symmetry_Int_Tables_number 38
loop_
_symmetry_equiv_pos_as_xyz
'x,y,z'
'-x,-y,z'
'-x,y,z'
'x,-y,z'
'x,y+1/2,z+1/2'
'-x,-y+1/2,z+1/2'
'-x,y+1/2,z+1/2'
'x,-y+1/2,z+1/2'
loop_
_atom_site_label
_atom_site_fract_x
_atom_site_fract_y
_atom_site_fract_z
Ca1 0.000 0.000 0.000
Ac1 0.000 0.249 0.250
Ac2 0.246 0.000 0.746
Ac3 0.247 0.246 0.500
Ac4 0.248 0.000 0.254
Ac5 0.500 0.000 0.000
Ac6 0.500 0.000 0.500
Ac7 0.500 0.249 0.750
Tm1 0.000 0.000 0.500
```

Main lines, by angle (15° ≤ 2θ ≤ 90°):
- 27.61 deg, 3.231 Å, rel. 100
- 31.98 deg, 2.798 Å, rel. 52
- 45.86 deg, 1.979 Å, rel. 39
- 54.37 deg, 1.688 Å, rel. 47
- 73.80 deg, 1.284 Å, rel. 19
- 76.05 deg, 1.251 Å, rel. 18

***

No. 3
Starting from the PBE geometry in Alexandria, the powder diffraction line list of Ca2Ac3Y2 was simulated for Cu Ka.
Neutral-atom scattering factors, no anomalous dispersion.

Crystal structure
```
data_Ca2Ac3Y2
_cell_length_a 5.803
_cell_length_b 25.902
_cell_length_c 3.802
_cell_angle_alpha 90.00
_cell_angle_beta 90.00
_cell_angle_gamma 90.00
_symmetry_space_group_name_H-M 'C m m m'
_symmetry_Int_Tables_number 65
_symmetry_space_group_name_Hall '-C 2 2'
loop_
_atom_site_label
_atom_site_fract_x
_atom_site_fract_y
_atom_site_fract_z
Ca1 0.000 0.075 0.000
Ac1 0.000 0.342 0.500
Ac2 0.000 0.500 0.500
Y1 0.000 0.217 0.000
```

Main lines, by angle (15° ≤ 2θ ≤ 90°):
- 15.65 deg, 5.662 Å, rel. 68
- 28.27 deg, 3.157 Å, rel. 99
- 28.61 deg, 3.120 Å, rel. 100
- 30.82 deg, 2.901 Å, rel. 52
- 31.35 deg, 2.853 Å, rel. 69
- 44.54 deg, 2.034 Å, rel. 53

***

No. 4
Starting from the PBE geometry in Alexandria, the powder diffraction line list of CaAcY2 was simulated for Cu Ka.
Neutral-atom scattering factors, no anomalous dispersion.

Crystal structure
```
data_CaAcY2
_cell_length_a 5.216
_cell_length_b 5.216
_cell_length_c 5.451
_cell_angle_alpha 90.00
_cell_angle_beta 90.00
_cell_angle_gamma 90.00
_symmetry_space_group_name_H-M 'P 4/m m m'
_symmetry_Int_Tables_number 123
_symmetry_space_group_name_Hall '-P 4 2'
loop_
_atom_site_label
_atom_site_fract_x
_atom_site_fract_y
_atom_site_fract_z
Ca1 0.000 0.000 0.000
Ac1 0.500 0.500 0.000
Y1 0.000 0.500 0.500
```

Main lines, by angle (15° ≤ 2θ ≤ 90°):
- 17.00 deg, 5.216 Å, rel. 28
- 23.61 deg, 3.769 Å, rel. 26
- 29.24 deg, 3.055 Å, rel. 100
- 34.38 deg, 2.608 Å, rel. 32
- 48.30 deg, 1.884 Å, rel. 25
- 58.46 deg, 1.579 Å, rel. 28

***

No. 5
Starting from the PBE geometry in Alexandria, the powder diffraction line list of Ca3Ac8Y2 was simulated for Cu Ka.
Neutral-atom scattering factors, no anomalous dispersion.

Crystal structure
```
data_Ca3Ac8Y2
_cell_length_a 22.823
_cell_length_b 8.076
_cell_length_c 6.185
_cell_angle_alpha 90.00
_cell_angle_beta 90.08
_cell_angle_gamma 90.00
_symmetry_space_group_name_H-M 'C 1 2/m 1'
_symmetry_Int_Tables_number 12
loop_
_symmetry_equiv_pos_as_xyz
'x,y,z'
'-x,-y,-z'
'-x,y,-z'
'x,-y,z'
'x+1/2,y+1/2,z'
'-x+1/2,-y+1/2,-z'
'-x+1/2,y+1/2,-z'
'x+1/2,-y+1/2,z'
loop_
_atom_site_label
_atom_site_fract_x
_atom_site_fract_y
_atom_site_fract_z
Ca1 0.000 0.000 0.000
Ca2 0.000 0.273 0.500
Ac1 0.113 0.281 0.000
Ac2 0.146 0.000 0.500
Ac3 0.179 0.500 0.500
Y1 0.243 0.000 0.000
```

Main lines, by angle (15° ≤ 2θ ≤ 90°):
- 15.53 deg, 5.706 Å, rel. 51
- 26.36 deg, 3.381 Å, rel. 58
- 27.53 deg, 3.240 Å, rel. 49
- 28.87 deg, 3.092 Å, rel. 52
- 30.74 deg, 2.909 Å, rel. 100
- 32.96 deg, 2.718 Å, rel. 26

***

No. 6
Starting from the PBE geometry in Alexandria, the powder diffraction line list of Ca14AcY was simulated for Cu Ka.
Neutral-atom scattering factors, no anomalous dispersion.

Crystal structure
```
data_Ca14AcY
_cell_length_a 10.990
_cell_length_b 11.001
_cell_length_c 10.997
_cell_angle_alpha 90.00
_cell_angle_beta 90.00
_cell_angle_gamma 90.00
_symmetry_space_group_name_H-M 'A m m 2'
_symmetry_Int_Tables_number 38
loop_
_symmetry_equiv_pos_as_xyz
'x,y,z'
'-x,-y,z'
'-x,y,z'
'x,-y,z'
'x,y+1/2,z+1/2'
'-x,-y+1/2,z+1/2'
'-x,y+1/2,z+1/2'
'x,-y+1/2,z+1/2'
loop_
_atom_site_label
_atom_site_fract_x
_atom_site_fract_y
_atom_site_fract_z
Ca1 0.000 0.000 0.000
Ca2 0.000 0.000 0.500
Ca3 0.000 0.250 0.250
Ca4 0.252 0.000 0.246
Ca5 0.252 0.000 0.753
Ca6 0.252 0.247 0.000
Ca7 0.500 0.250 0.250
Ac1 0.500 0.000 0.500
Y1 0.500 0.000 0.000
```

Main lines, by angle (15° ≤ 2θ ≤ 90°):
- 16.12 deg, 5.498 Å, rel. 16
- 18.04 deg, 4.918 Å, rel. 17
- 28.11 deg, 3.174 Å, rel. 100
- 32.57 deg, 2.749 Å, rel. 50
- 46.73 deg, 1.944 Å, rel. 35
- 55.43 deg, 1.658 Å, rel. 40

***

No. 7
Starting from the PBE geometry in Alexandria, the powder diffraction line list of Ca3Ac6Y was simulated for Cu Ka.
Neutral-atom scattering factors, no anomalous dispersion.

Crystal structure
```
data_Ca3Ac6Y
_cell_length_a 21.6795
_cell_length_b 21.6795
_cell_length_c 4.1006
_cell_angle_alpha 90.00
_cell_angle_beta 90.00
_cell_angle_gamma 120.00
_symmetry_space_group_name_H-M 'R 3 m'
_symmetry_Int_Tables_number 160
_symmetry_space_group_name_Hall 'R 3 -2"'
loop_
_atom_site_label
_atom_site_fract_x
_atom_site_fract_y
_atom_site_fract_z
Ca1 0.1451 0.0726 0.0000
Ac1 0.0942 0.1884 0.5459
Ac2 0.1786 0.3573 0.0981
Y1 0.0000 0.0000 0.4953
```

Main lines, by angle (15° ≤ 2θ ≤ 90°):
- 16.35 deg, 5.420 Å, rel. 67
- 21.69 deg, 4.097 Å, rel. 67
- 27.69 deg, 3.222 Å, rel. 87
- 28.91 deg, 3.088 Å, rel. 100
- 33.06 deg, 2.710 Å, rel. 75
- 33.40 deg, 2.683 Å, rel. 41

***

No. 8
Starting from the PBE geometry in Alexandria, the powder diffraction line list of CaAc6Y2 was simulated for Cu Ka.
Neutral-atom scattering factors, no anomalous dispersion.

Crystal structure
```
data_CaAc6Y2
_cell_length_a 6.7182
_cell_length_b 6.7182
_cell_length_c 11.5908
_cell_angle_alpha 90.00
_cell_angle_beta 90.00
_cell_angle_gamma 120.00
_symmetry_space_group_name_H-M 'P -3 1 m'
_symmetry_Int_Tables_number 162
_symmetry_space_group_name_Hall '-P 3 2'
loop_
_atom_site_label
_atom_site_fract_x
_atom_site_fract_y
_atom_site_fract_z
Ca1 0.0000 0.0000 0.0000
Ac1 0.0000 0.3336 0.2567
Y1 0.3333 0.6667 0.5000
```

Main lines, by angle (15° ≤ 2θ ≤ 90°):
- 15.29 deg, 5.796 Å, rel. 58
- 27.65 deg, 3.226 Å, rel. 100
- 30.77 deg, 2.906 Å, rel. 45
- 30.86 deg, 2.898 Å, rel. 22
- 35.41 deg, 2.535 Å, rel. 53
- 57.14 deg, 1.612 Å, rel. 32

***

No. 9
Starting from the PBE geometry in Alexandria, the powder diffraction line list of Ca3Ac6Y2 was simulated for Cu Ka.
Neutral-atom scattering factors, no anomalous dispersion.

Crystal structure
```
data_Ca3Ac6Y2
_cell_length_a 3.8880
_cell_length_b 3.8880
_cell_length_c 104.4865
_cell_angle_alpha 90.00
_cell_angle_beta 90.00
_cell_angle_gamma 120.00
_symmetry_space_group_name_H-M 'R -3 m'
_symmetry_Int_Tables_number 166
_symmetry_space_group_name_Hall '-R 3 2"'
loop_
_atom_site_label
_atom_site_fract_x
_atom_site_fract_y
_atom_site_fract_z
Ca1 0.0000 0.0000 0.0000
Ca2 0.0000 0.0000 0.2714
Ac1 0.0000 0.0000 0.0934
Ac2 0.0000 0.0000 0.1825
Ac3 0.0000 0.0000 0.3644
Y1 0.0000 0.0000 0.4551
```

Main lines, by angle (15° ≤ 2θ ≤ 90°):
- 26.69 deg, 3.339 Å, rel. 12
- 28.13 deg, 3.172 Å, rel. 100
- 32.60 deg, 2.747 Å, rel. 51
- 46.77 deg, 1.942 Å, rel. 37
- 55.45 deg, 1.657 Å, rel. 33
- 58.13 deg, 1.587 Å, rel. 11

***

No. 10
Starting from the PBE geometry in Alexandria, the powder diffraction line list of CaAc2Y2 was simulated for Cu Ka.
Neutral-atom scattering factors, no anomalous dispersion.

Crystal structure
```
data_CaAc2Y2
_cell_length_a 21.629
_cell_length_b 6.139
_cell_length_c 5.964
_cell_angle_alpha 90.00
_cell_angle_beta 90.00
_cell_angle_gamma 90.00
_symmetry_space_group_name_H-M 'C m c m'
_symmetry_Int_Tables_number 63
_symmetry_space_group_name_Hall '-C 2c 2'
loop_
_atom_site_label
_atom_site_fract_x
_atom_site_fract_y
_atom_site_fract_z
Ca1 0.000 0.234 0.250
Ac1 0.113 0.280 0.750
Y1 0.212 0.189 0.250
```

Main lines, by angle (15° ≤ 2θ ≤ 90°):
- 16.39 deg, 5.407 Å, rel. 19
- 21.17 deg, 4.196 Å, rel. 36
- 29.09 deg, 3.070 Å, rel. 24
- 29.36 deg, 3.042 Å, rel. 100
- 29.96 deg, 2.982 Å, rel. 29
- 52.83 deg, 1.733 Å, rel. 19

***

No. 11
Starting from the PBE geometry in Alexandria, the powder diffraction line list of CaAcZn10 was simulated for Cu Ka.
Neutral-atom scattering factors, no anomalous dispersion.

Crystal structure
```
data_CaAcZn10
_cell_length_a 4.308
_cell_length_b 5.451
_cell_length_c 9.544
_cell_angle_alpha 90.00
_cell_angle_beta 90.00
_cell_angle_gamma 90.00
_symmetry_space_group_name_H-M 'P m m m'
_symmetry_Int_Tables_number 47
loop_
_symmetry_equiv_pos_as_xyz
'x,y,z'
'-x,-y,-z'
'-x,-y,z'
'x,y,-z'
'x,-y,-z'
'-x,y,z'
'-x,y,-z'
'x,-y,z'
loop_
_atom_site_label
_atom_site_fract_x
_atom_site_fract_y
_atom_site_fract_z
Ca1 0.000 0.000 0.000
Ac1 0.000 0.500 0.500
Zn1 0.000 0.000 0.317
Zn2 0.000 0.500 0.157
Zn3 0.500 0.000 0.500
Zn4 0.500 0.250 0.248
Zn5 0.500 0.500 0.000
```

Main lines, by angle (15° ≤ 2θ ≤ 90°):
- 28.01 deg, 3.186 Å, rel. 41
- 32.59 deg, 2.748 Å, rel. 27
- 38.02 deg, 2.367 Å, rel. 33
- 38.88 deg, 2.317 Å, rel. 100
- 39.11 deg, 2.303 Å, rel. 50
- 41.94 deg, 2.154 Å, rel. 41

***

No. 12
Starting from the PBE geometry in Alexandria, the powder diffraction line list of CaAc2Zn6 was simulated for Cu Ka.
Neutral-atom scattering factors, no anomalous dispersion.

Crystal structure
```
data_CaAc2Zn6
_cell_length_a 8.0698
_cell_length_b 8.0698
_cell_length_c 3.8796
_cell_angle_alpha 90.00
_cell_angle_beta 90.00
_cell_angle_gamma 120.00
_symmetry_space_group_name_H-M 'P 6/m m m'
_symmetry_Int_Tables_number 191
_symmetry_space_group_name_Hall '-P 6 2'
loop_
_atom_site_label
_atom_site_fract_x
_atom_site_fract_y
_atom_site_fract_z
Ca1 0.0000 0.0000 0.0000
Ac1 0.3333 0.6667 0.0000
Zn1 0.0000 0.3237 0.5000
```

Main lines, by angle (15° ≤ 2θ ≤ 90°):
- 22.03 deg, 4.035 Å, rel. 18
- 32.00 deg, 2.797 Å, rel. 100
- 38.65 deg, 2.330 Å, rel. 51
- 51.02 deg, 1.790 Å, rel. 27
- 62.28 deg, 1.491 Å, rel. 25
- 65.80 deg, 1.419 Å, rel. 25

***

No. 13
Starting from the PBE geometry in Alexandria, the powder diffraction line list of Ac3Cd5 was simulated for Cu Ka.
Neutral-atom scattering factors, no anomalous dispersion.

Crystal structure
```
data_Ac3Cd5
_cell_length_a 6.993
_cell_length_b 21.313
_cell_length_c 13.811
_cell_angle_alpha 90.00
_cell_angle_beta 90.00
_cell_angle_gamma 90.00
_symmetry_space_group_name_H-M 'F d d 2'
_symmetry_Int_Tables_number 43
_symmetry_space_group_name_Hall 'F 2 -2d'
loop_
_atom_site_label
_atom_site_fract_x
_atom_site_fract_y
_atom_site_fract_z
Ac1 0.000 0.000 0.000
Ac2 0.013 0.317 0.995
Cd1 0.000 0.000 0.514
Cd2 0.019 0.162 0.903
Cd3 0.053 0.328 0.604
```

Main lines, by angle (15° ≤ 2θ ≤ 90°):
- 26.36 deg, 3.382 Å, rel. 70
- 28.25 deg, 3.159 Å, rel. 90
- 28.62 deg, 3.119 Å, rel. 100
- 30.86 deg, 2.897 Å, rel. 23
- 36.05 deg, 2.492 Å, rel. 82
- 37.22 deg, 2.416 Å, rel. 60